This entry pairs a crystal structure of RbVInO4 with its theoretical powder X-ray diffraction pattern. Radiation: a wavelength of 1.5418 Å. Structure: DFT lattice parameters and positions (GGA+U).
Intensities are scaled so that the largest is 100.

Principal peaks in the range 10° ≤ 2θ ≤ 80°, low angle first:
- d 7.274, intensity 89.9, hkl 0 0 1
- d 4.219, intensity 98.9, hkl 1 1 0
- d 4.027, intensity 75.9, hkl 1 0 1
- d 3.637, intensity 43.7, hkl 0 0 2
- d 3.126, intensity 52.5, hkl 0 1 2
- d 3.083, intensity 84.2, hkl 1 1 -2
- d 3.059, intensity 100.0, hkl 0 2 0
- d 2.703, intensity 56.8, hkl 2 1 -1
- d 2.513, intensity 74.9, hkl 1 1 2
- d 2.447, intensity 49.4, hkl 2 1 -2

Crystal structure
```
data_RbVInO4
_space_group_name_H-M_alt 'P 1 21/m 1'
_space_group_IT_number 11
_cell_length_a 6.071
_cell_length_b 6.119
_cell_length_c 7.581
_cell_angle_alpha 90.00
_cell_angle_beta 106.36
_cell_angle_gamma 90.00
loop_
_space_group_symop_operation_xyz
'x,y,z'
'-x,-y,-z'
'-x,y+1/2,-z'
'x,-y+1/2,z'
loop_
_atom_site_label
_atom_site_fract_x
_atom_site_fract_y
_atom_site_fract_z
_atom_site_occupancy
Rb1 0.205 0.250 0.438 1
V1 0.236 0.750 0.166 1
In1 0.322 0.250 0.971 1
O1 0.015 0.750 0.962 1
O2 0.118 0.750 0.345 1
O3 0.431 0.525 0.170 1
```